The following is a calculated powder X-ray diffraction pattern of CaMgZn. It was derived from the PBE geometry in Alexandria, using CuKα.
Lines closer than 0.1° are merged.

Peak list (10 most intense, 2θ = 10–80°, in order of rising 2θ)
two_theta  intensity  h k l
14.1  42.3  1 0 0
19.0  80.4  0 1 1
31.6  39.7  1 0 2
33.3  70.7  2 1 -2
33.8  82.8  1 2 -1
35.2  41.1  1 1 2
36.3  92.4  1 1 -3
37.4  100.0  1 2 1
40.7  39.8  2 2 -1
43.3  58.0  3 0 0

Structural model:
```
data_CaMgZn
_chemical_formula_sum 'Ca4 Mg4 Zn4'
_cell_length_a 6.7363
_cell_length_b 5.8905
_cell_length_c 8.1989
_cell_angle_alpha 90.00
_cell_angle_beta 111.51
_cell_angle_gamma 90.00
_space_group_name_H-M_alt 'P 1 21/c 1'
_space_group_IT_number 14
loop_
_space_group_symop_operation_xyz
'x,y,z'
'-x,-y,-z'
'-x,y+1/2,-z+1/2'
'x,-y+1/2,z+1/2'
loop_
_atom_site_label
_atom_site_type_symbol
_atom_site_fract_x
_atom_site_fract_y
_atom_site_fract_z
Ca1 Ca 0.1708 0.1105 0.3708
Mg1 Mg 0.4177 0.6067 0.3007
Zn1 Zn 0.1800 0.6065 0.5237
```